Diffraction record for V3Pd2N. The powder diffraction line list is calculated, not measured: it uses a crystal structure in Alexandria, relaxed with PBE and Cu Kα (weighted mean of Kα1 and Kα2).
No peak broadening, texture or thermal motion is included.

Principal peaks in the range 2θ = 5–70°, in order of rising 2θ:
| d [Å] | Position (°2θ) | I (rel.) |
| --- | --- | --- |
| 4.733 | 18.75 | 16 |
| 3.864 | 23.02 | 21 |
| 2.732 | 32.78 | 5 |
| 2.366 | 38.03 | 10 |
| 2.231 | 40.43 | 100 |
| 2.116 | 42.72 | 49 |
| 2.018 | 44.92 | 30 |
| 1.856 | 49.08 | 6 |
| 1.789 | 51.06 | 25 |
| 1.623 | 56.71 | 12 |
| 1.578 | 58.51 | 6 |
| 1.497 | 62.01 | 3 |

Crystal structure
```
data_V3Pd2N
_space_group_name_H-M_alt 'P 1'
_space_group_IT_number 1
_cell_length_a 6.6928
_cell_length_b 6.6928
_cell_length_c 6.6928
_cell_angle_alpha 90.00
_cell_angle_beta 90.00
_cell_angle_gamma 90.00
loop_
_space_group_symop_operation_xyz
'x,y,z'
loop_
_atom_site_label
_atom_site_type_symbol
_atom_site_fract_x
_atom_site_fract_y
_atom_site_fract_z
V1 V 0.0409 0.1250 0.7909
V2 V 0.1250 0.7909 0.0409
V3 V 0.2091 0.5409 0.3750
V4 V 0.2909 0.4591 0.8750
V5 V 0.3750 0.2091 0.5409
V6 V 0.4591 0.8750 0.2909
V7 V 0.5409 0.3750 0.2091
V8 V 0.6250 0.7091 0.9591
V9 V 0.7091 0.9591 0.6250
V10 V 0.7909 0.0409 0.1250
V11 V 0.8750 0.2909 0.4591
V12 V 0.9591 0.6250 0.7091
Pd1 Pd 0.0615 0.9385 0.4385
Pd2 Pd 0.1885 0.1885 0.1885
Pd3 Pd 0.3115 0.8115 0.6885
Pd4 Pd 0.4385 0.0615 0.9385
Pd5 Pd 0.5615 0.5615 0.5615
Pd6 Pd 0.6885 0.3115 0.8115
Pd7 Pd 0.8115 0.6885 0.3115
Pd8 Pd 0.9385 0.4385 0.0615
N1 N 0.1250 0.3750 0.6250
N2 N 0.3750 0.6250 0.1250
N3 N 0.6250 0.1250 0.3750
N4 N 0.8750 0.8750 0.8750
```

***

Diffraction record for Sm2Y2Sc. The powder diffraction line list is calculated, not measured: it uses a crystal structure in Alexandria, relaxed with PBE and Cu Kα (weighted mean of Kα1 and Kα2).
No peak broadening, texture or thermal motion is included.

Principal peaks in the range 2θ = 5–70°, in order of rising 2θ:
| d [Å] | Position (°2θ) | I (rel.) |
| --- | --- | --- |
| 5.349 | 16.57 | 18 |
| 2.880 | 31.05 | 79 |
| 2.836 | 31.55 | 100 |
| 2.688 | 33.33 | 44 |
| 2.674 | 33.51 | 33 |
| 2.588 | 34.66 | 21 |
| 2.174 | 41.54 | 16 |
| 1.896 | 47.99 | 24 |
| 1.690 | 54.27 | 15 |
| 1.579 | 58.45 | 17 |
| 1.484 | 62.58 | 28 |
| 1.462 | 63.66 | 13 |

Crystal structure
```
data_Sm2Y2Sc
_space_group_name_H-M_alt 'P 1'
_space_group_IT_number 1
_cell_length_a 8.7686
_cell_length_b 8.7686
_cell_length_c 6.9678
_cell_angle_alpha 90.00
_cell_angle_beta 90.00
_cell_angle_gamma 144.30
loop_
_space_group_symop_operation_xyz
'x,y,z'
loop_
_atom_site_label
_atom_site_type_symbol
_atom_site_fract_x
_atom_site_fract_y
_atom_site_fract_z
Sm1 Sm 0.1029 0.8971 0.5000
Sm2 Sm 0.3021 0.6979 0.7464
Sm3 Sm 0.6979 0.3021 0.2464
Sm4 Sm 0.8971 0.1029 0.0000
Y1 Y 0.3003 0.6997 0.2508
Y2 Y 0.5001 0.4999 0.2510
Y3 Y 0.4999 0.5001 0.7510
Y4 Y 0.6997 0.3003 0.7508
Sc1 Sc 0.1112 0.8888 0.0005
Sc2 Sc 0.8888 0.1112 0.5005
```

***

Diffraction record for YAg2TeS4. The powder diffraction line list is calculated, not measured: it uses a crystal structure in Alexandria, relaxed with PBE and Cu Kα (weighted mean of Kα1 and Kα2).
No peak broadening, texture or thermal motion is included.

Principal peaks in the range 2θ = 5–70°, in order of rising 2θ:
| d [Å] | Position (°2θ) | I (rel.) |
| --- | --- | --- |
| 3.396 | 26.25 | 50 |
| 3.162 | 28.23 | 36 |
| 2.975 | 30.04 | 100 |
| 2.603 | 34.45 | 37 |
| 2.239 | 40.27 | 17 |
| 1.990 | 45.60 | 16 |
| 1.959 | 46.34 | 56 |
| 1.829 | 49.85 | 13 |
| 1.826 | 49.95 | 12 |
| 1.717 | 53.37 | 14 |
| 1.698 | 54.01 | 14 |
| 1.581 | 58.38 | 15 |

Crystal structure
```
data_YAg2TeS4
_space_group_name_H-M_alt 'P 1'
_space_group_IT_number 1
_cell_length_a 7.9324
_cell_length_b 7.9324
_cell_length_c 7.9581
_cell_angle_alpha 120.02
_cell_angle_beta 120.02
_cell_angle_gamma 82.05
loop_
_space_group_symop_operation_xyz
'x,y,z'
loop_
_atom_site_label
_atom_site_type_symbol
_atom_site_fract_x
_atom_site_fract_y
_atom_site_fract_z
Y1 Y 0.0000 0.0000 0.0000
Y2 Y 0.0000 0.0000 0.5000
Ag1 Ag 0.0000 0.5000 0.0000
Ag2 Ag 0.5000 0.0000 0.5000
Ag3 Ag 0.5000 0.5000 0.0000
Ag4 Ag 0.5000 0.5000 0.5000
Te1 Te 0.0000 0.5000 0.5000
Te2 Te 0.5000 0.0000 0.0000
S1 S 0.2082 0.2144 0.9605
S2 S 0.2080 0.6772 0.9461
S3 S 0.2144 0.2082 0.4605
S4 S 0.3228 0.7920 0.5539
S5 S 0.6772 0.2080 0.4461
S6 S 0.7856 0.7918 0.5395
S7 S 0.7920 0.3228 0.0539
S8 S 0.7918 0.7856 0.0395
```

***

Diffraction record for TiHIr3. The powder diffraction line list is calculated, not measured: it uses a crystal structure in Alexandria, relaxed with PBE and Cu Kα (weighted mean of Kα1 and Kα2).
No peak broadening, texture or thermal motion is included.

Principal peaks in the range 2θ = 5–70°, in order of rising 2θ:
| d [Å] | Position (°2θ) | I (rel.) |
| --- | --- | --- |
| 3.956 | 22.47 | 6 |
| 3.913 | 22.73 | 11 |
| 2.782 | 32.18 | 9 |
| 2.767 | 32.36 | 4 |
| 2.267 | 39.76 | 100 |
| 1.978 | 45.88 | 17 |
| 1.956 | 46.41 | 33 |
| 1.765 | 51.79 | 3 |
| 1.754 | 52.16 | 3 |
| 1.600 | 57.60 | 4 |
| 1.391 | 67.31 | 21 |
| 1.383 | 67.73 | 11 |

Crystal structure
```
data_TiHIr3
_space_group_name_H-M_alt 'P 1'
_space_group_IT_number 1
_cell_length_a 5.5643
_cell_length_b 5.5643
_cell_length_c 5.5643
_cell_angle_alpha 120.39
_cell_angle_beta 120.34
_cell_angle_gamma 89.37
loop_
_space_group_symop_operation_xyz
'x,y,z'
loop_
_atom_site_label
_atom_site_type_symbol
_atom_site_fract_x
_atom_site_fract_y
_atom_site_fract_z
Ti1 Ti 0.2373 0.2373 0.0000
Ti2 Ti 0.7627 0.7627 0.0000
H1 H 0.5000 0.0000 0.5000
H2 H 0.5000 0.5000 0.0000
Ir1 Ir 0.2444 0.2504 0.4948
Ir2 Ir 0.2444 0.7496 0.9940
Ir3 Ir 0.2470 0.7470 0.5000
Ir4 Ir 0.7530 0.2530 0.5000
Ir5 Ir 0.7556 0.2504 0.0060
Ir6 Ir 0.7556 0.7496 0.5052
```